Entry 1:
This entry pairs a crystal structure of Ni4BiN with its calculated X-ray diffraction stick pattern. Radiation: Cu Kα X-rays. Structure: a DFT-relaxed cell (PBE, Alexandria).
Lines closer than 0.1° are merged.

Crystal structure
```
6
Lattice="3.669 0.000 0.000 0.000 3.669 0.000 0.000 0.000 6.188" Properties=species:S:1:pos:R:3 pbc="T T T"
Ni 0.000 0.000 1.222
Ni 0.000 0.000 4.966
Ni 0.000 1.834 3.094
Ni 1.834 0.000 3.094
Bi 1.834 1.834 0.000
N 0.000 0.000 3.094
```

The 6 most intense peaks (10 to 90 degrees two-theta), by intensity:
d_spacing  two_theta  I (rel.)
2.393  37.59  100
2.365  38.04  64
3.156  28.28  50
1.834  49.70  38
1.798  50.78  34
1.450  64.26  28

---

Entry 2:
This entry pairs a crystal structure of MgCo3Sn5 with its calculated X-ray diffraction stick pattern. Radiation: Cu Kα X-rays. Structure: a DFT-relaxed cell (PBE, Alexandria).
Lines closer than 0.1° are merged.

Crystal structure
```
18
Lattice="5.552 -4.438 0.000 5.552 4.438 0.000 -5.312 0.000 7.874" Properties=species:S:1:pos:R:3 pbc="T T T"
Mg -0.590 0.000 2.476
Mg 6.381 0.000 5.398
Co 0.000 0.000 0.000
Co -2.656 0.000 3.937
Co -0.744 0.000 6.550
Co 2.020 0.000 2.615
Co 3.772 0.000 5.259
Co 6.535 0.000 1.323
Sn 1.961 2.486 2.655
Sn 2.506 0.000 0.119
Sn 5.552 1.956 0.000
Sn 3.831 2.486 5.218
Sn 1.260 0.000 5.032
Sn 4.531 0.000 2.842
Sn 1.961 -2.486 2.655
Sn 5.552 -1.956 0.000
Sn 3.285 0.000 7.754
Sn 3.831 -2.486 5.218
```

The 6 most intense peaks (10 to 90 degrees two-theta), by intensity:
d_spacing  two_theta  I (rel.)
2.626  34.15  100
3.150  28.33  46
2.642  33.93  34
4.472  19.85  33
2.236  40.33  32
2.127  42.49  30

---

Entry 3:
This entry pairs a crystal structure of BaAlGa2Ge with its calculated X-ray diffraction stick pattern. Radiation: Cu Kα X-rays. Structure: a DFT-relaxed cell (PBE, Alexandria).
Lines closer than 0.1° are merged.

Crystal structure
```
5
Lattice="-2.303 2.371 5.343 2.303 -2.371 5.343 2.303 2.371 -5.343" Properties=species:S:1:pos:R:3 pbc="T T T"
Ba 0.000 0.000 0.000
Al 2.303 0.000 2.671
Ga 0.000 0.000 6.727
Ga 0.000 2.371 2.692
Ge 0.000 0.000 4.059
```

The 6 most intense peaks (10 to 90 degrees two-theta), by intensity:
d_spacing  two_theta  I (rel.)
2.813  31.82  100
2.848  31.41  36
3.304  26.99  30
2.371  37.95  27
2.303  39.12  25
1.814  50.30  19

---

Number 2 is which compound?
MgCo3Sn5